This entry pairs a crystal structure of Cd2Ag5Pd with its simulated PXRD pattern. Radiation: Cu Kα. Structure: a crystal structure in Alexandria, relaxed with GGA-PBE.
Peak positions follow from Bragg's law for the DFT cell and can differ from measured ones.

Crystal structure
Cell: 5.989 11.969 4.049 Å, 90.00 90.00 90.00°
Space group Pbam (No. 55)
Unique sites:
Cd1 0.233 0.120 0.000 (multiplicity 4)
Ag1 0.000 0.500 0.500 (multiplicity 2)
Ag2 0.013 0.749 0.500 (multiplicity 4)
Ag3 0.242 0.374 0.000 (multiplicity 4)
Pd1 0.000 0.000 0.500 (multiplicity 2)

Largest 10 diffraction maxima, sorted by position, 2θ = 15–90°:
h k l, two_theta, intensity
0 4 1, 37.4, 1000
2 1 1, 38.1, 9
2 4 0, 42.7, 335
0 0 2, 44.8, 149
0 8 0, 62.0, 103
2 4 2, 63.6, 194
4 3 1, 71.2, 5
2 8 1, 74.7, 231
0 4 3, 77.6, 109
0 8 2, 79.7, 98